Record 1
# Cs2Hg7Au
Theoretical XRD peak list, Cu Kα, 1.54184 Å. Input: the GGA-PBE geometry in Alexandria.
Kinematic intensities with the Lorentz-polarization factor, no thermal factor.

Peak list (10 most intense, 10° ≤ 2θ ≤ 80°, in order of rising 2θ)
- d 5.803, 2θ 15.3, I = 42.4
- d 5.715, 2θ 15.5, I = 20.5
- d 3.333, 2θ 26.7, I = 93.4
- d 2.901, 2θ 30.8, I = 100.0
- d 2.857, 2θ 31.3, I = 48.1
- d 2.052, 2θ 44.1, I = 37.7
- d 2.036, 2θ 44.5, I = 73.8
- d 1.747, 2θ 52.4, I = 29.6
- d 1.666, 2θ 55.1, I = 39.4
- d 1.297, 2θ 72.9, I = 17.3

Crystal structure
```
data_Cs2Hg7Au
_cell_length_a 8.144
_cell_length_b 8.144
_cell_length_c 8.144
_cell_angle_alpha 119.50
_cell_angle_beta 119.50
_cell_angle_gamma 90.87
_symmetry_space_group_name_H-M 'P 1'
_symmetry_Int_Tables_number 1
loop_
_symmetry_equiv_pos_as_xyz
'x,y,z'
loop_
_atom_site_label
_atom_site_type_symbol
_atom_site_fract_x
_atom_site_fract_y
_atom_site_fract_z
Cs1 Cs 0.250 0.750 0.500
Cs2 Cs 0.750 0.250 0.500
Hg1 Hg 0.000 0.000 0.000
Hg2 Hg 0.255 0.255 0.000
Hg3 Hg 0.256 0.256 0.511
Hg4 Hg 0.256 0.744 0.000
Hg5 Hg 0.744 0.256 0.000
Hg6 Hg 0.744 0.744 0.489
Hg7 Hg 0.745 0.745 0.000
Au1 Au 0.500 0.500 0.000
```

***

Record 2
# K2S3O6
Theoretical XRD peak list, Cu Kα, 1.54184 Å. Input: the GGA-PBE geometry in Alexandria.
Kinematic intensities with the Lorentz-polarization factor, no thermal factor.

Peak list (10 most intense, 10° ≤ 2θ ≤ 80°, in order of rising 2θ)
- d 5.381, 2θ 16.5, I = 74.2
- d 4.730, 2θ 18.8, I = 62.9
- d 3.771, 2θ 23.6, I = 51.4
- d 3.695, 2θ 24.1, I = 100.0
- d 3.648, 2θ 24.4, I = 84.5
- d 3.462, 2θ 25.7, I = 71.7
- d 3.224, 2θ 27.7, I = 89.7
- d 2.901, 2θ 30.8, I = 71.9
- d 2.761, 2θ 32.4, I = 42.6
- d 2.220, 2θ 40.6, I = 97.7

Crystal structure
```
data_K2S3O6
_cell_length_a 9.924
_cell_length_b 5.803
_cell_length_c 14.374
_cell_angle_alpha 90.00
_cell_angle_beta 90.00
_cell_angle_gamma 90.00
_symmetry_space_group_name_H-M 'P 1'
_symmetry_Int_Tables_number 1
loop_
_symmetry_equiv_pos_as_xyz
'x,y,z'
loop_
_atom_site_label
_atom_site_type_symbol
_atom_site_fract_x
_atom_site_fract_y
_atom_site_fract_z
K1 K 0.136 0.250 0.089
K2 K 0.181 0.250 0.765
K3 K 0.319 0.750 0.265
K4 K 0.364 0.750 0.589
K5 K 0.636 0.250 0.411
K6 K 0.681 0.250 0.735
K7 K 0.819 0.750 0.235
K8 K 0.864 0.750 0.911
S1 S 0.029 0.250 0.313
S2 S 0.084 0.250 0.456
S3 S 0.204 0.750 0.967
S4 S 0.296 0.250 0.467
S5 S 0.416 0.750 0.956
S6 S 0.471 0.750 0.813
S7 S 0.529 0.250 0.187
S8 S 0.584 0.250 0.044
S9 S 0.704 0.750 0.533
S10 S 0.796 0.250 0.033
S11 S 0.916 0.750 0.544
S12 S 0.971 0.750 0.687
O1 O 0.081 0.039 0.269
O2 O 0.081 0.461 0.269
O3 O 0.118 0.750 0.675
O4 O 0.149 0.539 0.924
O5 O 0.149 0.961 0.924
O6 O 0.195 0.750 0.069
O7 O 0.305 0.250 0.569
O8 O 0.351 0.039 0.424
O9 O 0.351 0.461 0.424
O10 O 0.382 0.250 0.175
O11 O 0.419 0.539 0.769
O12 O 0.419 0.961 0.769
O13 O 0.581 0.039 0.231
O14 O 0.581 0.461 0.231
O15 O 0.618 0.750 0.825
O16 O 0.649 0.539 0.576
O17 O 0.649 0.961 0.576
O18 O 0.695 0.750 0.431
O19 O 0.805 0.250 0.931
O20 O 0.851 0.039 0.076
O21 O 0.851 0.461 0.076
O22 O 0.882 0.250 0.325
O23 O 0.919 0.539 0.731
O24 O 0.919 0.961 0.731
```